1.
The following is a simulated powder XRD pattern of Rb3Pu3CdTe8. It was derived from the PBE geometry in Alexandria, using Cu Kα X-rays.
Lines closer than 0.1° are merged.

abc: 15.556 9.015 10.063
angles: 90.00 120.88 90.00
Space group C2/m (No. 12)
Unique sites:
Rb 0.000 0.000 0.000 [2 per cell]
Rb 0.250 0.250 0.000 [4 per cell]
Pu 0.000 0.500 0.500 [2 per cell]
Pu 0.250 0.250 0.500 [4 per cell]
Cd 0.000 0.000 0.500 [2 per cell]
Te 0.020 0.255 0.305 [8 per cell]
Te 0.231 0.000 0.693 [4 per cell]
Te 0.233 0.500 0.699 [4 per cell]

Most intense lines, 2θ from 10° to 90°, by angle:
2θ (°)	I (rel.)	h k l
10.24	58	0 0 1
26.70	100	2 2 -2
33.39	24	4 0 1
36.03	22	2 2 2
40.12	25	6 2 -2
48.75	13	4 4 0

2.
The following is a simulated powder XRD pattern of YHfCuAu. It was derived from the PBE geometry in Alexandria, using Cu Kα X-rays.
Lines closer than 0.1° are merged.

abc: 6.885 6.885 6.885
angles: 90.00 90.00 90.00
Space group F-43m (No. 216)
Unique sites:
Y 0.000 0.000 0.000 [4 per cell]
Hf 0.000 0.000 0.500 [4 per cell]
Cu 0.250 0.250 0.250 [4 per cell]
Au 0.250 0.250 0.750 [4 per cell]

Most intense lines, 2θ from 10° to 90°, by angle:
2θ (°)	I (rel.)	h k l
22.37	19	1 1 1
36.93	100	2 2 0
43.60	11	3 1 1
53.22	17	4 0 0
66.54	35	4 2 2
78.61	11	4 4 0

3.
The following is a simulated powder XRD pattern of Pr2Sm3Dy6Pb. It was derived from the PBE geometry in Alexandria, using Cu Kα X-rays.
Lines closer than 0.1° are merged.

abc: 6.161 10.673 11.830
angles: 90.00 100.06 90.00
Space group C2/m (No. 12)
Unique sites:
Pr 0.000 0.166 0.000 [4 per cell]
Sm 0.000 0.000 0.500 [2 per cell]
Sm 0.000 0.332 0.500 [4 per cell]
Dy 0.243 0.500 0.750 [4 per cell]
Dy 0.245 0.337 0.249 [8 per cell]
Pb 0.000 0.500 0.000 [2 per cell]

Most intense lines, 2θ from 10° to 90°, by angle:
2θ (°)	I (rel.)	h k l
30.76	100	0 0 4
35.66	51	2 0 2
51.28	18	2 0 -6
51.37	18	0 6 0
61.05	32	2 0 6
83.79	12	2 6 6

4.
The following is a simulated powder XRD pattern of PaHgI6. It was derived from the PBE geometry in Alexandria, using Cu Kα X-rays.
Lines closer than 0.1° are merged.

abc: 7.914 13.745 7.874
angles: 90.00 111.02 90.00
Space group C2/m (No. 12)
Unique sites:
Pa 0.000 0.000 0.000 [2 per cell]
Hg 0.000 0.500 0.500 [2 per cell]
I 0.227 0.000 0.777 [4 per cell]
I 0.231 0.154 0.235 [8 per cell]

Most intense lines, 2θ from 10° to 90°, by angle:
2θ (°)	I (rel.)	h k l
12.88	54	0 2 0
15.07	69	1 1 -1
27.42	60	2 0 -2
27.89	100	1 3 1
39.39	55	0 6 0
39.59	36	1 3 -3

5.
The following is a simulated powder XRD pattern of HoZnTe3. It was derived from the PBE geometry in Alexandria, using Cu Kα X-rays.
Lines closer than 0.1° are merged.

abc: 4.115 15.228 9.687
angles: 90.00 90.00 90.00
Space group Cmcm (No. 63)
Unique sites:
Ho 0.000 0.236 0.250 [4 per cell]
Zn 0.000 0.029 0.750 [4 per cell]
Te 0.000 0.159 0.567 [8 per cell]
Te 0.000 0.418 0.750 [4 per cell]

Most intense lines, 2θ from 10° to 90°, by angle:
2θ (°)	I (rel.)	h k l
11.62	34	0 2 0
29.42	100	1 3 1
30.06	45	0 2 3
35.84	44	1 1 3
39.67	33	1 3 3
40.11	30	0 6 2

6.
The following is a simulated powder XRD pattern of Dy2HoEr9. It was derived from the PBE geometry in Alexandria, using Cu Kα X-rays.
Lines closer than 0.1° are merged.

abc: 11.0775 11.0775 3.4623
angles: 90.00 90.00 120.00
Space group P6/mmm (No. 191)
Unique sites:
Dy 0.3333 0.6667 0.0000 [2 per cell]
Ho 0.0000 0.0000 0.0000 [1 per cell]
Er 0.0000 0.5000 0.0000 [3 per cell]
Er 0.1762 0.3524 0.5000 [6 per cell]

Most intense lines, 2θ from 10° to 90°, by angle:
2θ (°)	I (rel.)	h k l
30.45	26	1 1 1
31.88	54	2 0 1
32.33	100	2 2 0
46.04	19	4 0 1
57.37	19	4 2 1
63.36	29	2 2 2